# Pm2Tl3F8
Calculated powder diffractogram, Cu Kα. Input: a DFT-relaxed cell (GGA-PBE, Alexandria).
Intensities are scaled so that the largest is 100.

Structural model:
```
Pm2Tl3F8
1.0
4.0260 -7.3387 0.0000
4.0260 7.3387 0.0000
0.0000 0.0000 3.9693
Pm Tl F
2 3 8
Direct
0.2466 0.7534 0.0000
0.7534 0.2466 0.0000
0.1934 0.1934 0.5000
0.5000 0.5000 0.0000
0.8066 0.8066 0.5000
0.0917 0.4127 0.0000
0.1575 0.8425 0.5000
0.3356 0.6644 0.5000
0.4127 0.0917 0.0000
0.5873 0.9083 0.0000
0.6644 0.3356 0.5000
0.8425 0.1575 0.5000
0.9083 0.5873 0.0000
```

Top 10 peaks for 2θ = 15–90°, sorted by position:
2theta	d/Å	I_rel
24.3	3.669	73
25.2	3.530	34
25.5	3.491	51
25.7	3.460	45
31.1	2.879	32
31.7	2.827	48
34.0	2.639	45
40.3	2.239	100
45.7	1.983	36
60.1	1.539	30

---

# Pm2UF11
Calculated powder diffractogram, Cu Kα. Input: a DFT-relaxed cell (GGA-PBE, Alexandria).
Intensities are scaled so that the largest is 100.

Structural model:
```
Pm2UF11
1.0
-4.1816 5.2847 5.6038
4.1816 -5.2847 5.6038
4.1816 5.2847 -5.6038
Pm U F
4 2 22
Direct
0.1830 0.1367 0.3197
0.3170 0.6367 0.9537
0.6830 0.3633 0.0463
0.8170 0.8633 0.6803
0.2500 0.7500 0.5000
0.7500 0.2500 0.5000
0.0000 0.0000 0.0000
0.0167 0.4412 0.7686
0.0750 0.8302 0.6353
0.1727 0.9412 0.4246
0.1949 0.4397 0.3647
0.2240 0.8744 0.0985
0.2760 0.3744 0.6504
0.3051 0.6698 0.2449
0.3273 0.7519 0.7686
0.4250 0.0603 0.7551
0.4833 0.2519 0.4246
0.5000 0.5000 0.0000
0.5167 0.7481 0.5754
0.5750 0.9397 0.2449
0.6727 0.2481 0.2314
0.6949 0.3302 0.7551
0.7240 0.6256 0.3496
0.7760 0.1256 0.9015
0.8051 0.5603 0.6353
0.8273 0.0588 0.5754
0.9250 0.1698 0.3647
0.9833 0.5588 0.2314
```

Top 10 peaks for 2θ = 15–90°, sorted by position:
2theta	d/Å	I_rel
20.9	4.260	100
21.4	4.150	23
23.1	3.845	61
24.2	3.674	37
27.5	3.247	26
33.2	2.695	16
42.6	2.121	26
44.5	2.037	29
46.8	1.943	34
47.2	1.924	23

---

# PmY2F11
Calculated powder diffractogram, Cu Kα. Input: a DFT-relaxed cell (GGA-PBE, Alexandria).
Intensities are scaled so that the largest is 100.

Structural model:
```
PmY2F11
1.0
-4.2161 5.1687 5.7068
4.2161 -5.1687 5.7068
4.2161 5.1687 -5.7068
Pm Y F
2 4 22
Direct
0.2500 0.2500 0.0000
0.7500 0.7500 0.0000
0.1893 0.6589 0.8481
0.3107 0.1589 0.4696
0.6893 0.8411 0.5304
0.8107 0.3411 0.1519
0.0000 0.5000 0.5000
0.0318 0.9631 0.2767
0.0545 0.3411 0.1317
0.1865 0.4631 0.9313
0.1944 0.3915 0.5859
0.2094 0.9228 0.8683
0.2906 0.1589 0.7134
0.3056 0.8915 0.1970
0.3135 0.2449 0.2767
0.4455 0.5772 0.2866
0.4682 0.7449 0.9313
0.5000 0.0000 0.5000
0.5318 0.2551 0.0687
0.5545 0.4228 0.7134
0.6865 0.7551 0.7233
0.6944 0.1085 0.8030
0.7094 0.8411 0.2866
0.7906 0.0772 0.1317
0.8056 0.6085 0.4141
0.8135 0.5369 0.0687
0.9455 0.6589 0.8683
0.9682 0.0369 0.7233
```

Top 10 peaks for 2θ = 15–90°, sorted by position:
2theta	d/Å	I_rel
20.7	4.298	100
21.6	4.111	21
23.2	3.831	61
24.1	3.694	30
26.3	3.391	20
42.0	2.149	21
42.5	2.127	26
44.5	2.035	35
46.2	1.966	16
48.0	1.894	18

---

# PmZn2F8
Calculated powder diffractogram, Cu Kα. Input: a DFT-relaxed cell (GGA-PBE, Alexandria).
Intensities are scaled so that the largest is 100.

Structural model:
```
PmZn2F8
1.0
-2.7554 2.7554 5.3844
2.7554 -2.7554 5.3844
2.7554 2.7554 -5.3844
Pm Zn F
1 2 8
Direct
0.0000 0.0000 0.0000
0.2500 0.7500 0.5000
0.7500 0.2500 0.5000
0.0352 0.5665 0.8591
0.1761 0.0352 0.4687
0.2926 0.4335 0.4687
0.4335 0.9648 0.1409
0.5665 0.7074 0.5313
0.7074 0.1761 0.1409
0.8239 0.2926 0.8591
0.9648 0.8239 0.5313
```

Top 10 peaks for 2θ = 15–90°, sorted by position:
2theta	d/Å	I_rel
18.1	4.906	86
28.3	3.157	100
29.7	3.008	19
32.5	2.755	15
37.4	2.402	27
44.6	2.032	21
46.6	1.948	17
47.2	1.926	41
55.4	1.658	29
56.4	1.630	14

---

# Pr3F8
Calculated powder diffractogram, Cu Kα. Input: a DFT-relaxed cell (GGA-PBE, Alexandria).
Intensities are scaled so that the largest is 100.

Structural model:
```
Pr3F8
1.0
5.7988 0.0000 0.0000
0.0000 5.7988 0.0000
0.0000 0.0000 5.7988
Pr F
3 8
Direct
0.0000 0.0000 0.5000
0.0000 0.5000 0.0000
0.5000 0.0000 0.0000
0.2303 0.2303 0.2303
0.2303 0.2303 0.7697
0.2303 0.7697 0.2303
0.2303 0.7697 0.7697
0.7697 0.2303 0.2303
0.7697 0.2303 0.7697
0.7697 0.7697 0.2303
0.7697 0.7697 0.7697
```

Top 10 peaks for 2θ = 15–90°, sorted by position:
2theta	d/Å	I_rel
15.3	5.799	41
21.7	4.100	27
26.6	3.348	100
30.8	2.899	20
38.0	2.367	13
44.2	2.050	68
52.3	1.748	47
70.8	1.330	19
81.3	1.184	19
87.4	1.116	15

---

# Pr2PuF8
Calculated powder diffractogram, Cu Kα. Input: a DFT-relaxed cell (GGA-PBE, Alexandria).
Intensities are scaled so that the largest is 100.

Structural model:
```
Pr2PuF8
1.0
-1.9536 3.3168 5.7643
1.9536 -3.3168 5.7643
1.9536 3.3168 -5.7643
Pr Pu F
2 1 8
Direct
0.1828 0.1828 0.0000
0.8172 0.8172 0.0000
0.5000 0.5000 0.0000
0.0582 0.3386 0.7197
0.1904 0.0000 0.1904
0.3447 0.8447 0.5000
0.3811 0.6614 0.7197
0.6189 0.3386 0.2803
0.6553 0.1553 0.5000
0.8096 0.0000 0.8096
0.9418 0.6614 0.2803
```

Top 10 peaks for 2θ = 15–90°, sorted by position:
2theta	d/Å	I_rel
15.4	5.750	15
26.5	3.367	74
26.8	3.323	100
32.7	2.740	34
42.8	2.112	74
46.5	1.954	16
47.3	1.923	29
47.4	1.917	15
54.5	1.684	30
55.0	1.669	17

---

# RbPrTl2F6
Calculated powder diffractogram, Cu Kα. Input: a DFT-relaxed cell (GGA-PBE, Alexandria).
Intensities are scaled so that the largest is 100.

Structural model:
```
RbPrTl2F6
1.0
3.4409 1.9866 5.6717
-3.4409 1.9866 5.6717
0.0000 -3.9732 5.6717
Rb Pr Tl F
1 1 2 6
Direct
0.0000 0.0000 0.0000
0.4920 0.4920 0.4920
0.2716 0.2716 0.2716
0.7734 0.7734 0.7734
0.1536 0.3866 0.6597
0.2329 0.8178 0.6146
0.3866 0.6597 0.1536
0.6146 0.2329 0.8178
0.6597 0.1536 0.3866
0.8178 0.6146 0.2329
```

Top 10 peaks for 2θ = 15–90°, sorted by position:
2theta	d/Å	I_rel
18.2	4.881	26
25.7	3.462	98
25.9	3.441	100
36.8	2.441	47
41.3	2.188	25
45.3	2.003	18
45.6	1.989	78
53.2	1.720	15
60.0	1.541	19
72.7	1.301	26

---

# Pr3S3F2
Calculated powder diffractogram, Cu Kα. Input: a DFT-relaxed cell (GGA-PBE, Alexandria).
Intensities are scaled so that the largest is 100.

Structural model:
```
Pr3S3F2
1.0
-1.8949 2.0305 10.7729
1.8949 -2.0305 10.7729
1.8949 2.0305 -10.7729
Pr S F
3 3 2
Direct
0.0000 0.0000 0.0000
0.3267 0.8267 0.5000
0.6733 0.1733 0.5000
0.1267 0.6267 0.5000
0.5000 0.5000 0.0000
0.8733 0.3733 0.5000
0.2494 0.2494 0.0000
0.7506 0.7506 0.0000
```

Top 10 peaks for 2θ = 15–90°, sorted by position:
2theta	d/Å	I_rel
23.8	3.733	36
24.8	3.591	79
25.2	3.535	100
31.4	2.846	59
33.4	2.683	76
36.5	2.464	96
43.9	2.062	34
44.6	2.030	29
47.1	1.931	43
55.0	1.670	25

---

# Pr2S2F
Calculated powder diffractogram, Cu Kα. Input: a DFT-relaxed cell (GGA-PBE, Alexandria).
Intensities are scaled so that the largest is 100.

Structural model:
```
Pr2S2F
1.0
1.9791 -7.9914 0.0000
1.9791 7.9914 0.0000
0.0000 0.0000 7.0689
Pr S F
4 4 2
Direct
0.0614 0.9386 0.5000
0.3174 0.6826 0.4558
0.6826 0.3174 0.9558
0.9386 0.0614 0.0000
0.3035 0.6965 0.0506
0.4580 0.5420 0.6989
0.5420 0.4580 0.1989
0.6965 0.3035 0.5506
0.0974 0.9026 0.8531
0.9026 0.0974 0.3531
```

Top 10 peaks for 2θ = 15–90°, sorted by position:
2theta	d/Å	I_rel
25.2	3.534	64
25.6	3.478	100
26.4	3.376	69
28.1	3.177	52
30.9	2.898	30
36.1	2.487	41
38.1	2.363	62
44.6	2.032	55
45.9	1.979	27
53.3	1.720	28

---

# Pr2ScF
Calculated powder diffractogram, Cu Kα. Input: a DFT-relaxed cell (GGA-PBE, Alexandria).
Intensities are scaled so that the largest is 100.

Structural model:
```
Pr2ScF
1.0
1.6792 0.9695 10.3128
-1.6792 0.9695 10.3128
0.0000 -1.9390 10.3128
Pr Sc F
2 1 1
Direct
0.1036 0.1036 0.1036
0.8964 0.8964 0.8964
0.0000 0.0000 0.0000
0.5000 0.5000 0.5000
```

Top 10 peaks for 2θ = 15–90°, sorted by position:
2theta	d/Å	I_rel
17.2	5.156	41
25.9	3.438	67
30.9	2.896	100
31.3	2.858	31
32.9	2.722	43
34.1	2.632	81
38.7	2.324	34
42.7	2.119	76
54.7	1.679	37
61.5	1.509	36

---

# Pr2SiF
Calculated powder diffractogram, Cu Kα. Input: a DFT-relaxed cell (GGA-PBE, Alexandria).
Intensities are scaled so that the largest is 100.

Structural model:
```
Pr2SiF
1.0
2.0193 1.1658 7.0379
-2.0193 1.1658 7.0379
0.0000 -2.3317 7.0379
Pr Si F
2 1 1
Direct
0.0000 0.0000 0.0000
0.1736 0.1736 0.1736
0.5873 0.5873 0.5873
0.7637 0.7637 0.7637
```

Top 10 peaks for 2θ = 15–90°, sorted by position:
2theta	d/Å	I_rel
25.3	3.519	39
25.8	3.451	87
26.9	3.320	42
30.7	2.916	26
33.3	2.694	100
39.5	2.284	43
44.9	2.019	51
52.2	1.751	34
57.0	1.616	21
71.1	1.327	23

---

# Sr2PrF6
Calculated powder diffractogram, Cu Kα. Input: a DFT-relaxed cell (GGA-PBE, Alexandria).
Intensities are scaled so that the largest is 100.

Structural model:
```
Sr2PrF6
1.0
-2.0058 3.0372 6.1822
2.0058 -3.0372 6.1822
2.0058 3.0372 -6.1822
Sr Pr F
2 1 6
Direct
0.1704 0.1704 0.0000
0.8296 0.8296 0.0000
0.5000 0.5000 0.0000
0.0877 0.3381 0.7496
0.2317 0.0000 0.2317
0.4115 0.6619 0.7496
0.5885 0.3381 0.2504
0.7683 0.0000 0.7683
0.9123 0.6619 0.2504
```

Top 10 peaks for 2θ = 15–90°, sorted by position:
2theta	d/Å	I_rel
26.1	3.411	99
26.6	3.347	100
31.1	2.875	25
43.3	2.088	94
43.9	2.061	23
45.2	2.006	21
50.2	1.817	18
50.5	1.808	15
52.1	1.755	31
53.0	1.729	29

---

# TbPr2F11
Calculated powder diffractogram, Cu Kα. Input: a DFT-relaxed cell (GGA-PBE, Alexandria).
Intensities are scaled so that the largest is 100.

Structural model:
```
TbPr2F11
1.0
-4.3850 5.2615 5.7106
4.3850 -5.2615 5.7106
4.3850 5.2615 -5.7106
Tb Pr F
2 4 22
Direct
0.2500 0.2500 0.0000
0.7500 0.7500 0.0000
0.1909 0.6649 0.8559
0.3091 0.1649 0.4740
0.6909 0.8351 0.5260
0.8091 0.3351 0.1441
0.0000 0.5000 0.5000
0.0204 0.9516 0.2676
0.0617 0.3292 0.1224
0.1840 0.4516 0.9312
0.1865 0.3940 0.5805
0.2068 0.9393 0.8776
0.2932 0.1708 0.7325
0.3135 0.8940 0.2075
0.3160 0.2473 0.2676
0.4383 0.5607 0.2675
0.4796 0.7473 0.9312
0.5000 0.0000 0.5000
0.5204 0.2527 0.0688
0.5617 0.4393 0.7325
0.6840 0.7527 0.7324
0.6865 0.1060 0.7925
0.7068 0.8292 0.2675
0.7932 0.0607 0.1224
0.8135 0.6060 0.4195
0.8160 0.5484 0.0688
0.9383 0.6708 0.8776
0.9796 0.0484 0.7324
```

Top 10 peaks for 2θ = 15–90°, sorted by position:
2theta	d/Å	I_rel
20.4	4.356	100
21.2	4.196	37
23.0	3.869	77
23.3	3.815	54
25.6	3.478	30
41.5	2.178	24
42.1	2.147	27
43.1	2.101	26
43.3	2.090	44
47.2	1.927	21